Computed XRD peak list
Compound: Tb5Pm5Sc
Radiation: a wavelength of 1.5418 Å
Structure: a cell relaxed with PBE
Intensities are scaled so that the largest is 100.

```
data_Tb5Pm5Sc
_space_group_name_H-M_alt 'P 1'
_space_group_IT_number 1
_cell_length_a 6.0944
_cell_length_b 6.0944
_cell_length_c 11.6053
_cell_angle_alpha 90.00
_cell_angle_beta 90.00
_cell_angle_gamma 120.00
loop_
_space_group_symop_operation_xyz
'x,y,z'
loop_
_atom_site_label
_atom_site_type_symbol
_atom_site_fract_x
_atom_site_fract_y
_atom_site_fract_z
Tb1 Tb 0.0000 0.0000 0.2351
Tb2 Tb 0.0000 0.0000 0.7649
Tb3 Tb 0.3359 0.1679 0.0000
Tb4 Tb 0.8321 0.1679 0.0000
Tb5 Tb 0.8321 0.6641 0.0000
Pm1 Pm 0.0000 0.0000 0.5000
Pm2 Pm 0.3333 0.6667 0.1909
Pm3 Pm 0.3333 0.6667 0.8091
Pm4 Pm 0.6667 0.3333 0.3456
Pm5 Pm 0.6667 0.3333 0.6544
Sc1 Sc 0.3333 0.6667 0.5000
```

Peak list (10 most intense, 15 to 90 degrees two-theta, low angle first)
| 2θ/deg | I (rel.) | h k l |
| --- | --- | --- |
| 28.61 | 100 | 1 0 3 |
| 29.31 | 92 | 1 1 0 |
| 30.33 | 28 | 1 1 1 |
| 33.21 | 54 | 1 1 2 |
| 34.87 | 60 | 2 0 1 |
| 35.30 | 46 | 1 0 4 |
| 46.52 | 30 | 2 0 4 |
| 51.55 | 38 | 2 1 3 |
| 55.94 | 26 | 2 1 4 |
| 60.79 | 32 | 2 2 0 |